Computed powder X-ray diffraction pattern
Compound: SrCoNiO4
Radiation: copper Kα
Structure: the PBE+U geometry in Alexandria

Top 10 peaks for 10 to 90 degrees two-theta, in order of falling intensity:
Position (°2θ)	I (rel.)
35.87	100
21.06	48
60.01	43
32.35	40
22.72	32
46.41	28
66.63	17
42.88	16
38.93	15
77.06	10

Structure:
Cell: 5.0915 5.0915 5.0915 Å, 114.16 114.16 100.46°
Fractional positions:
1 Sr 0.0000 0.0000 0.0000
2 Co 0.7500 0.2500 0.5000
3 Ni 0.5000 0.5000 0.0000
4 O 0.1066 0.4918 0.9315
5 O 0.5082 0.4397 0.6148
6 O 0.5603 0.1751 0.0685
7 O 0.8249 0.8934 0.3852